Starting from a cell relaxed with GGA-PBE, the powder diffraction line list of Cs2K5Cd was calculated for Cu Kα.

Main lines, most intense first (10 to 90 degrees two-theta):
d (Å), intensity, hkl
3.867, 100.0, 2 0 2
3.576, 55.3, 1 1 4
7.735, 42.1, 1 0 1
3.041, 41.0, 2 2 0
5.011, 40.3, 1 1 2
2.317, 33.5, 3 1 4
8.841, 25.9, 0 0 2
2.652, 25.5, 1 1 6
1.879, 24.5, 4 2 2
2.601, 23.3, 3 1 2

Atomic structure:
```
data_Cs2K5Cd
_cell_length_a 8.6010
_cell_length_b 8.6010
_cell_length_c 17.6822
_cell_angle_alpha 90.00
_cell_angle_beta 90.00
_cell_angle_gamma 90.00
_space_group_name_H-M_alt 'I 4 m m'
_space_group_IT_number 107
_space_group_name_Hall 'I 4 -2'
loop_
_atom_site_label
_atom_site_type_symbol
_atom_site_fract_x
_atom_site_fract_y
_atom_site_fract_z
Cs1 Cs 0.0000 0.5000 0.0000
K1 K 0.0000 0.0000 0.1005
K2 K 0.2438 0.2438 0.7753
Cd1 Cd 0.0000 0.0000 0.9019
```